Theoretical powder X-ray diffraction pattern of Mg14CdSi for Cu Kα, 1.54184 Å, from a cell relaxed with PBE.
Intensities are scaled so that the largest is 100.

Structure:
```
Mg14CdSi
1.0
6.2717 0.0000 0.0000
-3.1358 5.4314 0.0000
0.0000 0.0000 10.3436
Mg Cd Si
14 1 1
direct
0.0000 0.0000 0.2488
0.0000 0.0000 0.7512
0.0027 0.5014 0.2512
0.0027 0.5014 0.7488
0.3323 0.1662 0.5000
0.3336 0.1668 0.0000
0.4986 0.5014 0.2512
0.4986 0.5014 0.7488
0.4986 0.9973 0.2512
0.4986 0.9973 0.7488
0.8332 0.1668 0.0000
0.8332 0.6664 0.0000
0.8338 0.1662 0.5000
0.8338 0.6677 0.5000
0.3333 0.6667 0.0000
0.3333 0.6667 0.5000
```

Principal peaks in the range 10 to 80 degrees two-theta, in order of rising 2θ:
| d (Å) | intensity | hkl |
| --- | --- | --- |
| 5.431 | 18 | 1 0 0 |
| 4.809 | 22 | 1 0 1 |
| 3.745 | 14 | 1 0 2 |
| 3.001 | 7 | 1 1 1 |
| 2.716 | 26 | 2 0 0 |
| 2.586 | 27 | 0 0 4 |
| 2.404 | 100 | 2 0 2 |
| 1.873 | 17 | 2 0 4 |
| 1.568 | 17 | 2 2 0 |
| 1.456 | 21 | 2 0 6 |
| 1.341 | 19 | 2 2 4 |
| 1.313 | 13 | 4 0 2 |

---

Theoretical powder X-ray diffraction pattern of Mg6CdSi for Cu Kα, 1.54184 Å, from a cell relaxed with PBE.
Intensities are scaled so that the largest is 100.

Structure:
```
Mg6CdSi
1.0
5.0836 0.0000 0.0000
0.0000 6.1394 0.0000
0.0000 0.0000 10.8555
Mg Cd Si
12 2 2
direct
0.0000 0.0000 0.0000
0.0000 0.2437 0.7436
0.0000 0.2563 0.2436
0.0000 0.5000 0.5000
0.0000 0.7437 0.2436
0.0000 0.7563 0.7436
0.5000 0.0000 0.1669
0.5000 0.2491 0.4190
0.5000 0.2509 0.9190
0.5000 0.5000 0.6669
0.5000 0.7491 0.9190
0.5000 0.7509 0.4190
0.0000 0.0000 0.4894
0.0000 0.5000 0.9894
0.5000 0.0000 0.6815
0.5000 0.5000 0.1815
```

Principal peaks in the range 10 to 80 degrees two-theta, in order of rising 2θ:
| d (Å) | intensity | hkl |
| --- | --- | --- |
| 5.428 | 19 | 0 0 2 |
| 5.344 | 42 | 0 1 1 |
| 5.084 | 17 | 1 0 0 |
| 3.710 | 20 | 1 0 2 |
| 3.683 | 36 | 1 1 1 |
| 2.714 | 20 | 0 0 4 |
| 2.672 | 21 | 0 2 2 |
| 2.542 | 37 | 2 0 0 |
| 2.394 | 39 | 1 0 4 |
| 2.365 | 100 | 1 2 2 |
| 1.431 | 21 | 3 2 2 |
| 1.329 | 16 | 2 2 6 |

---

Theoretical powder X-ray diffraction pattern of Sm2MgCd for Cu Kα, 1.54184 Å, from a cell relaxed with PBE.
Intensities are scaled so that the largest is 100.

Structure:
```
Sm2MgCd
1.0
7.6581 0.0000 0.0000
0.0000 7.6581 0.0000
0.0000 0.0000 7.6581
Sm Mg Cd
8 4 4
direct
0.2500 0.2500 0.2500
0.2500 0.2500 0.7500
0.2500 0.7500 0.2500
0.2500 0.7500 0.7500
0.7500 0.2500 0.2500
0.7500 0.2500 0.7500
0.7500 0.7500 0.2500
0.7500 0.7500 0.7500
0.0000 0.0000 0.0000
0.0000 0.5000 0.5000
0.5000 0.0000 0.5000
0.5000 0.5000 0.0000
0.0000 0.0000 0.5000
0.0000 0.5000 0.0000
0.5000 0.0000 0.0000
0.5000 0.5000 0.5000
```

Principal peaks in the range 10 to 80 degrees two-theta, in order of rising 2θ:
| d (Å) | intensity | hkl |
| --- | --- | --- |
| 4.421 | 9 | 1 1 1 |
| 3.829 | 16 | 2 0 0 |
| 2.708 | 100 | 2 2 0 |
| 2.309 | 5 | 3 1 1 |
| 2.211 | 5 | 2 2 2 |
| 1.915 | 18 | 4 0 0 |
| 1.757 | 2 | 3 3 1 |
| 1.712 | 7 | 4 2 0 |
| 1.563 | 37 | 4 2 2 |
| 1.354 | 11 | 4 4 0 |
| 1.276 | 3 | 6 0 0 |
| 1.211 | 16 | 6 2 0 |

---

Which formula does entry 2 have? Mg6CdSi